Simulated powder X-ray diffraction pattern
Compound: V11ReB8
Radiation: copper Kα
Structure: a cell relaxed with GGA-PBE
Neutral-atom scattering factors, no anomalous dispersion.

a b c (Å): 5.7423 3.0260 11.4870
angles (deg): 90.00 90.01 90.00
Fractional positions:
V  0.0000  0.0000  0.0000
V  0.1782  0.5000  0.1606
V  0.1799  0.5000  0.6639
V  0.3223  0.5000  0.9116
V  0.3268  0.5000  0.4091
V  0.4999  0.0000  0.2487
V  0.5001  0.0000  0.7513
V  0.6732  0.5000  0.5909
V  0.6777  0.5000  0.0884
V  0.8201  0.5000  0.3361
V  0.8218  0.5000  0.8394
Re  0.0000  0.0000  0.5000
B  0.1113  0.0000  0.3042
B  0.1112  0.0000  0.8068
B  0.3891  0.0000  0.0552
B  0.3890  0.0000  0.5560
B  0.6110  0.0000  0.4440
B  0.6109  0.0000  0.9448
B  0.8888  0.0000  0.1932
B  0.8887  0.0000  0.6958

Largest 8 diffraction maxima, most intense first, 2θ from 5° to 70°:
43.4 deg, I 100; 7.7 deg, I 66; 37.1 deg, I 65; 46.4 deg, I 56; 50.2 deg, I 51; 34.9 deg, I 43; 21.9 deg, I 40; 44.6 deg, I 31

***

Simulated powder X-ray diffraction pattern
Compound: CeAl2Ni2
Radiation: copper Kα
Structure: a cell relaxed with GGA-PBE
Neutral-atom scattering factors, no anomalous dispersion.

a b c (Å): 6.0001 6.0001 6.0001
angles (deg): 141.22 141.22 56.01
Fractional positions:
Ce  0.0000  0.0000  0.0000
Al  0.2500  0.7500  0.5000
Al  0.7500  0.2500  0.5000
Ni  0.3860  0.3860  0.0000
Ni  0.6140  0.6140  0.0000

Largest 8 diffraction maxima, most intense first, 2θ from 5° to 70°:
33.9 deg, I 100; 36.1 deg, I 83; 31.8 deg, I 61; 48.7 deg, I 52; 45.5 deg, I 50; 58.0 deg, I 43; 68.8 deg, I 35; 16.7 deg, I 31

***

Simulated powder X-ray diffraction pattern
Compound: K2Na5Bi2
Radiation: copper Kα
Structure: a cell relaxed with GGA-PBE
Neutral-atom scattering factors, no anomalous dispersion.

a b c (Å): 11.1330 11.1330 11.1330
angles (deg): 64.45 139.23 132.37
Fractional positions:
K  0.1451  0.0970  0.2421
K  0.1451  0.4030  0.5481
K  0.8549  0.5970  0.4519
K  0.8549  0.9030  0.7579
Na  0.1564  0.7422  0.9142
Na  0.3240  0.0140  0.6496
Na  0.3240  0.1744  0.8100
Na  0.3644  0.5140  0.1900
Na  0.3644  0.6744  0.3504
Na  0.4942  0.0680  0.2619
Na  0.4942  0.7323  0.9263
Na  0.8060  0.2323  0.7381
Na  0.8060  0.5680  0.0737
Na  0.8280  0.2422  0.0858
Bi  0.3350  0.3350  0.0000
Bi  0.3350  0.8350  0.5000
Bi  0.6316  0.4297  0.7019
Bi  0.7277  0.9297  0.2981

Largest 8 diffraction maxima, most intense first, 2θ from 5° to 70°:
17.8 deg, I 100; 32.0 deg, I 56; 32.3 deg, I 42; 37.4 deg, I 32; 21.9 deg, I 25; 18.8 deg, I 22; 15.1 deg, I 20; 29.8 deg, I 19

***

Simulated powder X-ray diffraction pattern
Compound: Ca3SnPt2
Radiation: copper Kα
Structure: a cell relaxed with GGA-PBE
Neutral-atom scattering factors, no anomalous dispersion.

a b c (Å): 8.2972 8.2972 8.2972
angles (deg): 149.87 148.67 44.02
Fractional positions:
Ca  0.0000  0.0000  0.0000
Ca  0.3208  0.8208  0.5000
Ca  0.6792  0.1792  0.5000
Sn  0.5000  0.5000  0.0000
Pt  0.1269  0.6269  0.5000
Pt  0.8731  0.3731  0.5000

Largest 8 diffraction maxima, most intense first, 2θ from 5° to 70°:
37.2 deg, I 100; 21.4 deg, I 60; 35.4 deg, I 29; 28.7 deg, I 29; 26.4 deg, I 29; 31.0 deg, I 26; 40.3 deg, I 25; 41.9 deg, I 22

***

Simulated powder X-ray diffraction pattern
Compound: CaSc
Radiation: copper Kα
Structure: a cell relaxed with GGA-PBE
Neutral-atom scattering factors, no anomalous dispersion.

a b c (Å): 6.1542 7.1262 11.5251
angles (deg): 90.00 90.00 90.00
Fractional positions:
Ca  0.0072  0.1254  0.2451
Ca  0.1666  0.3787  0.5055
Ca  0.3334  0.6213  0.0055
Ca  0.4928  0.8746  0.7451
Ca  0.5072  0.3746  0.7549
Ca  0.6666  0.1213  0.4945
Ca  0.8334  0.8787  0.9945
Ca  0.9928  0.6254  0.2549
Sc  0.0132  0.1243  0.7595
Sc  0.1602  0.8632  0.5101
Sc  0.3398  0.1368  0.0101
Sc  0.4868  0.8757  0.2595
Sc  0.5132  0.3757  0.2405
Sc  0.6602  0.6368  0.4899
Sc  0.8398  0.3632  0.9899
Sc  0.9868  0.6243  0.7405

Largest 8 diffraction maxima, most intense first, 2θ from 5° to 70°:
33.0 deg, I 100; 30.0 deg, I 44; 31.0 deg, I 34; 37.4 deg, I 23; 56.4 deg, I 17; 61.3 deg, I 16; 51.4 deg, I 15; 49.4 deg, I 9

***

Simulated powder X-ray diffraction pattern
Compound: NpCoTcGe
Radiation: copper Kα
Structure: a cell relaxed with GGA-PBE
Neutral-atom scattering factors, no anomalous dispersion.

a b c (Å): 4.4780 4.4780 4.4780
angles (deg): 60.00 60.00 60.00
Fractional positions:
Np  0.0000  0.0000  0.0000
Co  0.7500  0.7500  0.7500
Tc  0.2500  0.2500  0.2500
Ge  0.5000  0.5000  0.5000

Largest 8 diffraction maxima, most intense first, 2θ from 5° to 70°:
40.3 deg, I 100; 24.3 deg, I 28; 58.3 deg, I 17; 47.6 deg, I 15; 28.2 deg, I 12; 64.1 deg, I 6; 66.0 deg, I 5; 49.9 deg, I 4